# 1
Computed X-ray diffraction stick pattern
Compound: Sm3GaRu
Radiation: copper Kα
Structure: the PBE geometry in Alexandria
Peak positions follow from Bragg's law for the DFT cell and can differ from measured ones.

Largest 8 diffraction maxima, sorted by position, 2θ = 10–90°:
- 28.10°, I 40
- 30.05°, I 42
- 31.32°, I 100
- 31.84°, I 45
- 36.71°, I 41
- 38.45°, I 48
- 39.85°, I 31
- 50.75°, I 29

Structural model:
Lattice parameters (Å, degrees): 4.6828 7.6072 7.7594 83.00 89.98 72.10
Sites, in units of the cell vectors:
Sm  0.0447  0.4100  0.2873
Sm  0.2366  0.0266  0.6842
Sm  0.3830  0.7334  0.0697
Sm  0.6170  0.2666  0.9303
Sm  0.7634  0.9734  0.3158
Sm  0.9553  0.5900  0.7127
Ga  0.4089  0.6832  0.4643
Ga  0.5911  0.3168  0.5357
Ru  0.1952  0.1101  0.0882
Ru  0.8048  0.8899  0.9118

---

# 2
Computed X-ray diffraction stick pattern
Compound: Sm3GaRu
Radiation: copper Kα
Structure: the PBE geometry in Alexandria
Peak positions follow from Bragg's law for the DFT cell and can differ from measured ones.

Largest 8 diffraction maxima, sorted by position, 2θ = 10–90°:
- 27.19°, I 36
- 31.54°, I 100
- 32.58°, I 87
- 34.96°, I 96
- 35.44°, I 98
- 38.71°, I 52
- 40.24°, I 42
- 57.66°, I 43

Structural model:
Lattice parameters (Å, degrees): 9.3118 8.6192 5.8252 77.63 64.71 37.67
Sites, in units of the cell vectors:
Sm  0.1962  0.1962  0.8038
Sm  0.2073  0.5845  0.4155
Sm  0.4155  0.7927  0.2073
Sm  0.5845  0.2073  0.7927
Sm  0.7927  0.4155  0.5845
Sm  0.8038  0.8038  0.1962
Ga  0.1916  0.8084  0.8084
Ga  0.8084  0.1916  0.1916
Ru  0.2500  0.2500  0.2500
Ru  0.7500  0.7500  0.7500

---

# 3
Computed X-ray diffraction stick pattern
Compound: Sm2Ga5Ru
Radiation: copper Kα
Structure: the PBE geometry in Alexandria
Peak positions follow from Bragg's law for the DFT cell and can differ from measured ones.

Largest 8 diffraction maxima, sorted by position, 2θ = 10–90°:
- 28.84°, I 73
- 34.08°, I 22
- 35.57°, I 100
- 41.05°, I 34
- 41.43°, I 59
- 51.27°, I 21
- 59.74°, I 38
- 71.77°, I 17

Structural model:
Lattice parameters (Å, degrees): 6.1641 6.1641 8.7954 90.00 90.00 90.00
Sites, in units of the cell vectors:
Sm  0.0000  0.5000  0.0000
Sm  0.0000  0.5000  0.5000
Sm  0.5000  0.0000  0.0000
Sm  0.5000  0.0000  0.5000
Ga  0.0000  0.0000  0.0180
Ga  0.2142  0.2142  0.2470
Ga  0.2142  0.7858  0.2470
Ga  0.2858  0.2858  0.7470
Ga  0.2858  0.7142  0.7470
Ga  0.5000  0.5000  0.5180
Ga  0.7142  0.2858  0.7470
Ga  0.7142  0.7142  0.7470
Ga  0.7858  0.2142  0.2470
Ga  0.7858  0.7858  0.2470
Ru  0.0000  0.0000  0.7415
Ru  0.5000  0.5000  0.2415